(1)
This entry pairs a crystal structure of Na8MgTi2O8 with its calculated powder X-ray diffraction pattern. Radiation: Cu Ka. Structure: a GGA-PBE-relaxed structure.
Lines closer than 0.1° are merged.

Largest 10 diffraction maxima, by angle, 2θ = 5–70°:
d/Å, Position (°2θ), I/Imax
6.829, 12.96, 45
4.760, 18.64, 62
4.172, 21.30, 41
3.415, 26.10, 71
3.318, 26.87, 40
2.986, 29.93, 63
2.966, 30.13, 58
2.823, 31.70, 58
2.616, 34.28, 100
1.887, 48.23, 51

Atomic structure:
a b c (Å): 6.639 6.955 6.955
angles (deg): 79.09 90.00 90.00
Atoms (fractional coordinates):
Na 0.000 0.149 0.851
Na 0.000 0.851 0.149
Na 0.268 0.557 0.934
Na 0.268 0.934 0.557
Na 0.500 0.312 0.616
Na 0.500 0.616 0.312
Na 0.732 0.557 0.934
Na 0.732 0.934 0.557
Mg 0.000 0.558 0.558
Ti 0.000 0.303 0.303
Ti 0.500 0.031 0.031
O 0.000 0.042 0.380
O 0.000 0.380 0.042
O 0.213 0.422 0.422
O 0.278 0.923 0.923
O 0.500 0.301 0.941
O 0.500 0.941 0.301
O 0.722 0.923 0.923
O 0.787 0.422 0.422

---

(2)
This entry pairs a crystal structure of NaYMg6O8 with its calculated powder X-ray diffraction pattern. Radiation: Cu Ka. Structure: a GGA-PBE-relaxed structure.
Lines closer than 0.1° are merged.

Largest 10 diffraction maxima, by angle, 2θ = 5–70°:
d/Å, Position (°2θ), I/Imax
8.814, 10.04, 14
4.409, 20.14, 18
3.944, 22.55, 20
3.117, 28.63, 15
2.939, 30.41, 14
2.545, 35.26, 24
2.204, 40.94, 100
1.972, 46.03, 8
1.800, 50.72, 6
1.559, 59.28, 57

Atomic structure:
a b c (Å): 4.410 4.410 8.814
angles (deg): 90.00 90.00 90.00
Atoms (fractional coordinates):
Na 0.000 0.000 0.000
Y 0.500 0.500 0.000
Mg 0.000 0.000 0.500
Mg 0.000 0.500 0.262
Mg 0.000 0.500 0.738
Mg 0.500 0.000 0.262
Mg 0.500 0.000 0.738
Mg 0.500 0.500 0.500
O 0.000 0.000 0.268
O 0.000 0.000 0.732
O 0.000 0.500 0.000
O 0.000 0.500 0.500
O 0.500 0.000 0.000
O 0.500 0.000 0.500
O 0.500 0.500 0.261
O 0.500 0.500 0.739

---

(3)
This entry pairs a crystal structure of NaYMg6O8 with its calculated powder X-ray diffraction pattern. Radiation: Cu Ka. Structure: a GGA-PBE-relaxed structure.
Lines closer than 0.1° are merged.

Largest 10 diffraction maxima, by angle, 2θ = 5–70°:
d/Å, Position (°2θ), I/Imax
8.930, 9.91, 27
4.409, 20.14, 16
3.954, 22.49, 28
3.137, 28.45, 14
2.944, 30.36, 20
2.556, 35.10, 34
2.232, 40.40, 48
2.205, 40.93, 100
1.569, 58.87, 55
1.559, 59.27, 29

Atomic structure:
a b c (Å): 4.409 4.409 8.930
angles (deg): 90.00 90.00 90.00
Atoms (fractional coordinates):
Na 0.000 0.000 0.000
Y 0.000 0.000 0.500
Mg 0.000 0.500 0.227
Mg 0.000 0.500 0.773
Mg 0.500 0.000 0.227
Mg 0.500 0.000 0.773
Mg 0.500 0.500 0.000
Mg 0.500 0.500 0.500
O 0.000 0.000 0.253
O 0.000 0.000 0.747
O 0.000 0.500 0.000
O 0.000 0.500 0.500
O 0.500 0.000 0.000
O 0.500 0.000 0.500
O 0.500 0.500 0.252
O 0.500 0.500 0.748

---

(4)
This entry pairs a crystal structure of NaMgP with its calculated powder X-ray diffraction pattern. Radiation: Cu Ka. Structure: a GGA-PBE-relaxed structure.
Lines closer than 0.1° are merged.

Largest 8 diffraction maxima, by angle, 2θ = 5–70°:
d/Å, Position (°2θ), I/Imax
3.653, 24.37, 26
3.164, 28.21, 22
2.237, 40.32, 100
1.908, 47.67, 11
1.827, 49.93, 5
1.582, 58.33, 16
1.452, 64.16, 4
1.415, 66.03, 7

Atomic structure:
a b c (Å): 6.327 6.327 6.327
angles (deg): 90.00 90.00 90.00
Atoms (fractional coordinates):
Na 0.000 0.000 0.000
Na 0.000 0.500 0.500
Na 0.500 0.000 0.500
Na 0.500 0.500 0.000
Mg 0.250 0.250 0.250
Mg 0.250 0.750 0.750
Mg 0.750 0.250 0.750
Mg 0.750 0.750 0.250
P 0.250 0.250 0.750
P 0.250 0.750 0.250
P 0.750 0.250 0.250
P 0.750 0.750 0.750

---

(5)
This entry pairs a crystal structure of NaMg6Sb with its calculated powder X-ray diffraction pattern. Radiation: Cu Ka. Structure: a GGA-PBE-relaxed structure.
Lines closer than 0.1° are merged.

Largest 10 diffraction maxima, by angle, 2θ = 5–70°:
d/Å, Position (°2θ), I/Imax
5.718, 15.50, 24
5.554, 15.96, 51
3.876, 22.94, 22
3.824, 23.26, 43
2.777, 32.23, 48
2.636, 34.01, 39
2.513, 35.73, 52
2.457, 36.57, 100
1.634, 56.29, 21
1.389, 67.42, 23

Atomic structure:
a b c (Å): 5.273 6.354 11.436
angles (deg): 90.00 90.00 90.00
Atoms (fractional coordinates):
Na 0.000 0.000 0.000
Na 0.000 0.500 0.500
Mg 0.000 0.248 0.249
Mg 0.000 0.252 0.749
Mg 0.000 0.748 0.749
Mg 0.000 0.752 0.249
Mg 0.500 0.000 0.169
Mg 0.500 0.000 0.669
Mg 0.500 0.249 0.914
Mg 0.500 0.251 0.414
Mg 0.500 0.500 0.169
Mg 0.500 0.500 0.669
Mg 0.500 0.749 0.414
Mg 0.500 0.751 0.914
Sb 0.000 0.000 0.499
Sb 0.000 0.500 0.999

---

(6)
This entry pairs a crystal structure of NaMg14Sb with its calculated powder X-ray diffraction pattern. Radiation: Cu Ka. Structure: a GGA-PBE-relaxed structure.
Lines closer than 0.1° are merged.

Largest 10 diffraction maxima, by angle, 2θ = 5–70°:
d/Å, Position (°2θ), I/Imax
10.504, 8.42, 30
5.536, 16.01, 19
4.898, 18.11, 29
2.768, 32.34, 25
2.626, 34.14, 40
2.474, 36.32, 50
2.449, 36.70, 100
1.612, 57.14, 17
1.480, 62.80, 21
1.374, 68.28, 20

Atomic structure:
a b c (Å): 10.504 6.448 6.448
angles (deg): 59.15 90.00 90.00
Atoms (fractional coordinates):
Na 0.000 0.000 0.000
Mg 0.000 0.002 0.497
Mg 0.000 0.497 0.002
Mg 0.250 0.668 0.668
Mg 0.255 0.166 0.665
Mg 0.255 0.168 0.168
Mg 0.255 0.665 0.166
Mg 0.500 0.500 0.500
Mg 0.500 0.501 0.999
Mg 0.500 0.999 0.501
Mg 0.500 0.999 0.999
Mg 0.745 0.166 0.665
Mg 0.745 0.168 0.168
Mg 0.745 0.665 0.166
Mg 0.750 0.668 0.668
Sb 0.000 0.497 0.497

---

(7)
This entry pairs a crystal structure of NaMg6Sb with its calculated powder X-ray diffraction pattern. Radiation: Cu Ka. Structure: a GGA-PBE-relaxed structure.
Lines closer than 0.1° are merged.

Largest 10 diffraction maxima, by angle, 2θ = 5–70°:
d/Å, Position (°2θ), I/Imax
5.677, 15.61, 49
5.633, 15.73, 24
5.173, 17.14, 21
3.819, 23.29, 62
2.838, 31.52, 31
2.587, 34.68, 36
2.488, 36.10, 100
2.474, 36.32, 50
1.912, 47.56, 19
1.379, 67.97, 19

Atomic structure:
a b c (Å): 5.173 6.572 11.266
angles (deg): 90.00 90.00 90.00
Atoms (fractional coordinates):
Na 0.000 0.000 0.000
Na 0.000 0.500 0.500
Mg 0.000 0.000 0.502
Mg 0.000 0.247 0.248
Mg 0.000 0.253 0.748
Mg 0.000 0.500 0.002
Mg 0.000 0.747 0.748
Mg 0.000 0.753 0.248
Mg 0.500 0.000 0.333
Mg 0.500 0.246 0.584
Mg 0.500 0.254 0.084
Mg 0.500 0.500 0.833
Mg 0.500 0.746 0.084
Mg 0.500 0.754 0.584
Sb 0.500 0.000 0.833
Sb 0.500 0.500 0.333

---

(8)
This entry pairs a crystal structure of NaMg14Sb with its calculated powder X-ray diffraction pattern. Radiation: Cu Ka. Structure: a GGA-PBE-relaxed structure.
Lines closer than 0.1° are merged.

Largest 10 diffraction maxima, by angle, 2θ = 5–70°:
d/Å, Position (°2θ), I/Imax
10.504, 8.42, 25
5.548, 15.97, 16
4.906, 18.08, 28
2.774, 32.27, 26
2.626, 34.14, 27
2.453, 36.64, 100
1.907, 47.69, 17
1.602, 57.55, 17
1.480, 62.76, 19
1.367, 68.64, 19

Atomic structure:
a b c (Å): 6.406 6.406 10.504
angles (deg): 90.00 90.00 120.00
Atoms (fractional coordinates):
Na 0.000 0.000 0.000
Mg 0.003 0.502 0.000
Mg 0.168 0.337 0.251
Mg 0.168 0.337 0.749
Mg 0.168 0.832 0.251
Mg 0.168 0.832 0.749
Mg 0.498 0.502 0.000
Mg 0.498 0.997 0.000
Mg 0.501 0.003 0.500
Mg 0.501 0.499 0.500
Mg 0.663 0.832 0.251
Mg 0.663 0.832 0.749
Mg 0.667 0.333 0.249
Mg 0.667 0.333 0.751
Mg 0.997 0.499 0.500
Sb 0.000 0.000 0.500

---

(9)
This entry pairs a crystal structure of NaMg14Si with its calculated powder X-ray diffraction pattern. Radiation: Cu Ka. Structure: a GGA-PBE-relaxed structure.
Lines closer than 0.1° are merged.

Largest 9 diffraction maxima, by angle, 2θ = 5–70°:
d/Å, Position (°2θ), I/Imax
10.478, 8.44, 1
2.729, 32.82, 24
2.619, 34.23, 28
2.420, 37.15, 100
1.890, 48.15, 15
1.576, 58.58, 17
1.471, 63.21, 19
1.365, 68.80, 2
1.350, 69.63, 19

Atomic structure:
a b c (Å): 6.303 6.303 10.478
angles (deg): 90.00 90.00 120.00
Atoms (fractional coordinates):
Na 0.000 0.000 0.000
Mg 0.004 0.502 0.000
Mg 0.166 0.331 0.257
Mg 0.166 0.331 0.743
Mg 0.166 0.834 0.257
Mg 0.166 0.834 0.743
Mg 0.498 0.502 0.000
Mg 0.498 0.996 0.000
Mg 0.502 0.003 0.500
Mg 0.502 0.498 0.500
Mg 0.667 0.333 0.246
Mg 0.667 0.333 0.754
Mg 0.669 0.834 0.257
Mg 0.669 0.834 0.743
Mg 0.997 0.498 0.500
Si 0.000 0.000 0.500

---

(10)
This entry pairs a crystal structure of NaMg6Si with its calculated powder X-ray diffraction pattern. Radiation: Cu Ka. Structure: a GGA-PBE-relaxed structure.
Lines closer than 0.1° are merged.

Largest 10 diffraction maxima, by angle, 2θ = 5–70°:
d/Å, Position (°2θ), I/Imax
2.779, 32.21, 13
2.753, 32.52, 24
2.510, 35.78, 37
2.431, 36.98, 50
2.414, 37.25, 100
1.855, 49.12, 14
1.599, 57.63, 17
1.433, 65.08, 9
1.430, 65.26, 18
1.349, 69.72, 19

Atomic structure:
a b c (Å): 5.019 6.339 11.115
angles (deg): 90.00 90.00 90.00
Atoms (fractional coordinates):
Na 0.000 0.000 0.000
Na 0.000 0.500 0.500
Mg 0.000 0.248 0.250
Mg 0.000 0.252 0.750
Mg 0.000 0.748 0.750
Mg 0.000 0.752 0.250
Mg 0.500 0.000 0.168
Mg 0.500 0.000 0.665
Mg 0.500 0.245 0.418
Mg 0.500 0.255 0.918
Mg 0.500 0.500 0.165
Mg 0.500 0.500 0.668
Mg 0.500 0.745 0.918
Mg 0.500 0.755 0.418
Si 0.000 0.000 0.498
Si 0.000 0.500 0.998

---

(11)
This entry pairs a crystal structure of NaMg14Si with its calculated powder X-ray diffraction pattern. Radiation: Cu Ka. Structure: a GGA-PBE-relaxed structure.
Lines closer than 0.1° are merged.

Largest 10 diffraction maxima, by angle, 2θ = 5–70°:
d/Å, Position (°2θ), I/Imax
2.741, 32.67, 24
2.612, 34.33, 28
2.427, 37.04, 100
1.891, 48.12, 15
1.585, 58.21, 6
1.582, 58.35, 11
1.470, 63.27, 19
1.372, 68.40, 2
1.355, 69.36, 6
1.353, 69.48, 13

Atomic structure:
a b c (Å): 10.448 6.326 6.326
angles (deg): 60.14 90.00 90.00
Atoms (fractional coordinates):
Na 0.000 0.000 0.000
Mg 0.000 0.001 0.498
Mg 0.000 0.498 0.001
Mg 0.246 0.665 0.665
Mg 0.249 0.171 0.664
Mg 0.249 0.664 0.171
Mg 0.254 0.168 0.168
Mg 0.500 0.000 0.000
Mg 0.500 0.500 0.500
Mg 0.500 0.501 0.999
Mg 0.500 0.999 0.501
Mg 0.746 0.168 0.168
Mg 0.751 0.171 0.664
Mg 0.751 0.664 0.171
Mg 0.754 0.665 0.665
Si 0.000 0.498 0.498

---

(12)
This entry pairs a crystal structure of NaMg6Si with its calculated powder X-ray diffraction pattern. Radiation: Cu Ka. Structure: a GGA-PBE-relaxed structure.
Lines closer than 0.1° are merged.

Largest 10 diffraction maxima, by angle, 2θ = 5–70°:
d/Å, Position (°2θ), I/Imax
2.756, 32.48, 24
2.522, 35.60, 25
2.419, 37.17, 100
1.861, 48.95, 15
1.594, 57.85, 6
1.590, 57.99, 11
1.435, 64.97, 18
1.379, 67.96, 2
1.347, 69.81, 6
1.345, 69.93, 12

Atomic structure:
a b c (Å): 5.044 6.375 11.010
angles (deg): 90.00 90.00 90.00
Atoms (fractional coordinates):
Na 0.000 0.000 0.000
Na 0.000 0.500 0.500
Mg 0.000 0.000 0.495
Mg 0.000 0.242 0.244
Mg 0.000 0.258 0.744
Mg 0.000 0.500 0.995
Mg 0.000 0.742 0.744
Mg 0.000 0.758 0.244
Mg 0.500 0.000 0.662
Mg 0.500 0.245 0.412
Mg 0.500 0.255 0.912
Mg 0.500 0.500 0.162
Mg 0.500 0.745 0.912
Mg 0.500 0.755 0.412
Si 0.500 0.000 0.169
Si 0.500 0.500 0.669